# 1
The following is a simulated powder diffractogram of PbI2. It was derived from a GGA-PBE-relaxed structure, using Cu Kα X-rays.

Crystal structure
Cell: 4.6615 4.6615 86.8835 Å, 90.00 90.00 120.00°
Space group P3m1 (No. 156)
Unique sites:
Pb 0.0000 0.0000 0.0000 x1
Pb 0.0000 0.0000 0.0833 x1
Pb 0.0000 0.0000 0.1666 x1
Pb 0.0000 0.0000 0.2500 x1
Pb 0.0000 0.0000 0.3333 x1
Pb 0.0000 0.0000 0.4166 x1
Pb 0.0000 0.0000 0.6666 x1
Pb 0.0000 0.0000 0.7500 x1
Pb 0.6667 0.3333 0.5000 x1
Pb 0.6667 0.3333 0.5833 x1
Pb 0.6667 0.3333 0.8333 x1
Pb 0.6667 0.3333 0.9166 x1
I 0.0000 0.0000 0.5216 x1
I 0.0000 0.0000 0.6050 x1
I 0.0000 0.0000 0.8550 x1
I 0.0000 0.0000 0.9383 x1
I 0.3333 0.6667 0.0616 x1
I 0.3333 0.6667 0.1449 x1
I 0.3333 0.6667 0.2282 x1
I 0.3333 0.6667 0.3116 x1
I 0.3333 0.6667 0.3949 x1
I 0.3333 0.6667 0.4783 x1
I 0.3333 0.6667 0.5616 x1
I 0.3333 0.6667 0.6449 x1
I 0.3333 0.6667 0.7283 x1
I 0.3333 0.6667 0.8116 x1
I 0.3333 0.6667 0.8949 x1
I 0.3333 0.6667 0.9783 x1
I 0.6667 0.3333 0.0217 x1
I 0.6667 0.3333 0.1050 x1
I 0.6667 0.3333 0.1884 x1
I 0.6667 0.3333 0.2717 x1
I 0.6667 0.3333 0.3550 x1
I 0.6667 0.3333 0.4383 x1
I 0.6667 0.3333 0.6883 x1
I 0.6667 0.3333 0.7717 x1

Main lines, sorted by position (10 to 80 degrees two-theta):
7.240 Å, intensity 56.8, hkl 0 0 12; 3.526 Å, intensity 100.0, hkl 1 0 12; 3.312 Å, intensity 22.1, hkl 0 1 15; 2.889 Å, intensity 20.4, hkl 1 0 21; 2.695 Å, intensity 35.0, hkl 0 1 24; 2.331 Å, intensity 65.7, hkl 1 1 0; 2.219 Å, intensity 19.8, hkl 1 1 12; 2.071 Å, intensity 20.5, hkl 0 1 36; 1.944 Å, intensity 18.9, hkl 0 2 12; 1.430 Å, intensity 27.3, hkl 1 1 48

=====

# 2
The following is a simulated powder diffractogram of HoLuO3. It was derived from a GGA-PBE-relaxed structure, using Cu Kα X-rays.

Crystal structure
Cell: 5.849 8.259 5.576 Å, 90.00 90.00 90.00°
Space group Pnma (No. 62)
Unique sites:
Ho 0.057 0.250 0.019 x4
Lu 0.000 0.000 0.500 x4
O 0.070 0.750 0.355 x4
O 0.187 0.577 0.816 x8

Main lines, sorted by position (10 to 80 degrees two-theta):
2.925 Å, intensity 21.3, hkl 2 0 0; 2.886 Å, intensity 100.0, hkl 1 2 1; 2.788 Å, intensity 21.7, hkl 0 0 2; 2.065 Å, intensity 11.6, hkl 0 4 0; 2.018 Å, intensity 17.4, hkl 2 0 2; 1.687 Å, intensity 10.4, hkl 2 4 0; 1.681 Å, intensity 13.7, hkl 3 2 1; 1.659 Å, intensity 11.3, hkl 0 4 2; 1.628 Å, intensity 22.7, hkl 1 2 3; 1.443 Å, intensity 10.5, hkl 2 4 2

=====

# 3
The following is a simulated powder diffractogram of Ca3Ni2N4. It was derived from a GGA-PBE-relaxed structure, using Cu Kα X-rays.

Crystal structure
Cell: 5.635 9.618 8.824 Å, 90.00 90.00 90.00°
Space group Pnna (No. 52)
Unique sites:
Ca 0.107 0.155 0.086 x8
Ca 0.250 0.000 0.401 x4
Ni 0.146 0.250 0.750 x4
Ni 0.250 0.000 0.732 x4
N 0.009 0.590 0.330 x8
N 0.120 0.646 0.877 x8

Main lines, sorted by position (10 to 80 degrees two-theta):
4.749 Å, intensity 74.7, hkl 1 0 1; 4.412 Å, intensity 43.3, hkl 0 0 2; 3.013 Å, intensity 37.4, hkl 0 3 1; 2.704 Å, intensity 34.8, hkl 2 1 0; 2.607 Å, intensity 100.0, hkl 1 0 3; 2.517 Å, intensity 55.6, hkl 1 1 3; 2.356 Å, intensity 30.2, hkl 1 3 2; 2.344 Å, intensity 26.5, hkl 2 2 1; 2.145 Å, intensity 31.6, hkl 1 4 1; 2.111 Å, intensity 26.6, hkl 0 4 2